Record 1
Computed powder diffraction line list of BaNaTlO3 for a wavelength of 1.5418 Å, from a structure optimized by DFT (GGA-PBE).

Structure:
```
12
Lattice="2.960 -5.970 0.000 2.960 5.970 0.000 -1.448 0.000 5.785" Properties=species:S:1:pos:R:3 pbc="T T T"
Ba 1.874 3.010 4.339
Ba 2.598 -3.010 1.446
Na 2.598 5.236 1.446
Na 1.874 -5.236 4.339
Tl 2.598 0.729 1.446
Tl 1.874 -0.729 4.339
O 0.840 0.750 2.947
O 2.598 2.904 1.446
O 1.564 -0.750 0.055
O 2.909 0.750 5.731
O 1.874 -2.904 4.339
O 3.633 -0.750 2.838
```

Top 12 peaks for 10° ≤ 2θ ≤ 90°, in order of rising 2θ:
Position (°2θ)	intensity
17.1	100.0
21.4	34.5
29.4	84.3
30.9	52.0
31.1	51.1
32.0	21.6
33.3	91.7
33.8	19.0
38.4	41.2
51.6	26.2
51.9	25.7
56.3	20.1

=====

Record 2
Computed powder diffraction line list of Ba2Na2UO6 for a wavelength of 1.5418 Å, from a structure optimized by DFT (GGA-PBE).

Structure:
```
11
Lattice="3.239 1.870 5.533 -3.239 1.870 5.533 0.000 -3.740 5.533" Properties=species:S:1:pos:R:3 pbc="T T T"
Ba 0.000 0.000 3.508
Ba 0.000 0.000 13.092
Na 0.000 0.000 6.962
Na 0.000 0.000 9.638
U 0.000 0.000 0.000
O -1.849 -1.068 9.708
O 0.000 -2.135 6.891
O -1.849 1.068 6.891
O 1.849 -1.068 9.708
O 0.000 2.135 9.708
O 1.849 1.068 6.891
```

Top 12 peaks for 10° ≤ 2θ ≤ 90°, in order of rising 2θ:
Position (°2θ)	intensity
16.7	88.8
26.7	41.4
27.5	100.0
31.3	67.7
38.7	30.4
42.2	31.6
43.0	18.0
48.2	17.9
48.7	20.5
51.1	41.7
56.9	18.3
57.5	20.2